Calculated PXRD pattern
Compound: Li9Mn2Co5O16
Radiation: copper Kα
Structure: a GGA+U-relaxed structure
Kinematic intensities with the Lorentz-polarization factor, no thermal factor.

Atomic structure:
```
Li9Mn2Co5O16
1.0
2.940 0.000 0.000
0.170 9.805 0.000
0.076 2.075 10.026
Li Mn Co O
9 2 5 16
direct
0.000 0.000 0.000
0.000 0.249 0.128
0.006 0.758 0.378
0.018 0.768 0.881
0.491 0.495 0.007
0.502 0.505 0.501
0.505 0.006 0.764
0.511 0.012 0.244
0.989 0.246 0.629
0.004 0.502 0.757
0.518 0.759 0.126
0.002 0.005 0.498
0.003 0.505 0.258
0.492 0.257 0.379
0.499 0.235 0.894
0.505 0.759 0.626
0.001 0.141 0.818
0.001 0.382 0.928
0.004 0.629 0.581
0.008 0.881 0.680
0.011 0.862 0.183
0.023 0.635 0.085
0.453 0.384 0.204
0.496 0.132 0.553
0.497 0.614 0.809
0.503 0.138 0.061
0.509 0.395 0.702
0.509 0.883 0.445
0.510 0.863 0.955
0.545 0.628 0.306
0.988 0.382 0.431
0.997 0.130 0.325
```

The 10 most intense peaks (5 to 70 degrees two-theta), in order of falling intensity:
two_theta, d [Å], intensity, hkl
18.23, 4.867, 100.0, 0 1 2
42.79, 2.113, 28.8, 1 3 2
43.59, 2.077, 27.2, -1 3 2
44.01, 2.057, 25.3, 0 2 -4
35.55, 2.525, 15.0, 1 2 0
63.25, 1.470, 14.6, 2 0 0
36.09, 2.489, 13.1, 1 -2 0
36.23, 2.479, 12.4, 0 3 -2
8.82, 10.026, 8.9, 0 0 1
62.18, 1.493, 7.7, 0 6 4